This entry pairs a crystal structure of PmPrMg3 with its computed powder diffraction line list. Radiation: a wavelength of 1.5418 Å. Structure: the GGA-PBE geometry in Alexandria.

Top 6 peaks for 5 to 70 degrees two-theta, sorted by position:
d/Å  2θ/deg  I/Imax  hkl
8.579  10.31  87  0 0 3
3.727  23.87  34  0 1 5
3.120  28.61  100  1 1 0
3.040  29.38  75  1 0 7
2.932  30.49  100  1 1 3
2.764  32.39  57  0 1 8

Structure:
```
data_PmPrMg3
_symmetry_space_group_name_H-M 'R -3 m'
_symmetry_Int_Tables_number 166
_symmetry_space_group_name_Hall '-R 3 2"'
_cell_length_a 6.2401
_cell_length_b 6.2401
_cell_length_c 25.7378
_cell_angle_alpha 90.00
_cell_angle_beta 90.00
_cell_angle_gamma 120.00
loop_
_atom_site_label
_atom_site_type_symbol
_atom_site_fract_x
_atom_site_fract_y
_atom_site_fract_z
Pm1 Pm 0.0000 0.0000 0.0673
Pr1 Pr 0.0000 0.0000 0.3340
Mg1 Mg 0.0074 0.5037 0.8796
```